# 1
For Ba2Tl8Pb, a DFT-relaxed cell (PBE, Alexandria) gives the simulated powder diffractogram in this record (Cu Kα).
Lines closer than 0.1° are merged.

Largest 10 diffraction maxima, in order of falling intensity, 2θ from 5° to 70°:
d/Å, 2theta, I (rel.)
2.941, 30.39, 100
2.908, 30.74, 48
2.982, 29.97, 46
2.766, 32.37, 45
2.454, 36.62, 27
2.461, 36.51, 25
1.834, 49.70, 12
1.617, 56.95, 10
1.855, 49.10, 10
1.822, 50.05, 10

```
Ba2Tl8Pb
1.0
6.0824 0.0000 0.0000
-1.2629 6.0308 0.0000
-0.7066 -0.4721 10.0220
Ba Tl Pb
2 8 1
Cartesian
0.4469 1.6348 2.8953
3.6660 3.9238 7.1267
-0.7045 4.5526 0.7973
0.6969 1.8139 6.5922
0.3249 4.7045 4.8135
0.6480 5.4651 8.3790
3.4650 0.0935 1.6429
3.7881 0.8541 5.2085
3.4160 3.7447 3.4298
4.8175 1.0060 9.2246
2.4098 3.0154 0.0000
```


# 2
For Ba7Tl2Pb2, a DFT-relaxed cell (PBE, Alexandria) gives the simulated powder diffractogram in this record (Cu Kα).
Lines closer than 0.1° are merged.

Largest 10 diffraction maxima, in order of falling intensity, 2θ from 5° to 70°:
d/Å, 2theta, I (rel.)
2.866, 31.21, 100
4.019, 22.12, 66
3.279, 27.20, 63
2.968, 30.11, 51
5.311, 16.69, 40
3.862, 23.03, 37
2.742, 32.66, 30
2.541, 35.33, 29
1.802, 50.67, 26
2.381, 37.78, 26

```
Ba7Tl2Pb2
1.0
4.4857 -6.5577 0.0000
4.4857 6.5577 0.0000
0.0000 0.0000 9.0541
Ba Tl Pb
7 2 2
Cartesian
0.0000 0.0000 0.0000
2.2428 3.2788 2.6229
2.2428 3.2788 6.4312
2.2428 -3.2788 2.6229
2.2428 -3.2788 6.4312
4.4857 0.0000 2.2870
4.4857 0.0000 6.7671
4.4857 2.8306 0.0000
4.4857 -2.8306 0.0000
1.5704 0.0000 4.5270
7.4010 0.0000 4.5270
```